Calculated powder diffraction line list of Ce3Gd for a wavelength of 1.5418 Å, from a cell relaxed with GGA-PBE.
Lines closer than 0.1° are merged.

Crystal structure
```
data_Ce3Gd
_chemical_formula_sum 'Ce3 Gd1'
_space_group_name_H-M_alt 'P 1'
_space_group_IT_number 1
_cell_length_a 4.842
_cell_length_b 4.842
_cell_length_c 4.842
_cell_angle_alpha 90.00
_cell_angle_beta 90.00
_cell_angle_gamma 90.00
loop_
_space_group_symop_operation_xyz
'x,y,z'
loop_
_atom_site_label
_atom_site_fract_x
_atom_site_fract_y
_atom_site_fract_z
Ce1 0.000 0.000 0.500
Ce2 0.000 0.500 0.000
Ce3 0.500 0.000 0.000
Gd1 0.500 0.500 0.500
```

Largest 6 diffraction maxima, in order of rising 2θ, 2θ from 10° to 80°:
2θ/deg	intensity	h k l
32.0	100	1 1 1
37.1	50	2 0 0
53.5	35	2 2 0
63.8	41	3 1 1
67.0	12	2 2 2
79.1	6	4 0 0